Diffraction record for Y2ZrPt2. The PXRD pattern is simulated, not measured: it uses the GGA-PBE geometry in Alexandria and λ = 1.5418 Å (Cu Kα).
Neutral-atom scattering factors, no anomalous dispersion.

Largest 8 diffraction maxima, sorted by position, 2θ = 5–70°:
4.497 Å, intensity 24
3.192 Å, intensity 11
2.603 Å, intensity 100
2.257 Å, intensity 29
2.249 Å, intensity 20
2.017 Å, intensity 13
1.593 Å, intensity 19
1.357 Å, intensity 13

Crystal structure
```
10
Lattice="7.1364 0.0000 0.0000 0.0000 7.1364 0.0000 0.0000 0.0000 4.4974" Properties=species:S:1:pos:R:3 pbc="T T T"
Y 1.2114 2.3568 0.0000
Y 2.3568 5.9250 0.0000
Y 4.7796 1.2114 0.0000
Y 5.9250 4.7796 0.0000
Zr 0.0000 0.0000 2.2487
Zr 3.5682 3.5682 2.2487
Pt 0.9931 4.5613 2.2487
Pt 2.5751 0.9931 2.2487
Pt 4.5613 6.1433 2.2487
Pt 6.1433 2.5751 2.2487
```



Diffraction record for CdH6CBr3N3. The PXRD pattern is simulated, not measured: it uses the GGA-PBE geometry in Alexandria and λ = 1.5418 Å (Cu Kα).
Neutral-atom scattering factors, no anomalous dispersion.

Largest 8 diffraction maxima, sorted by position, 2θ = 5–70°:
8.332 Å, intensity 87
6.892 Å, intensity 100
4.163 Å, intensity 54
3.527 Å, intensity 50
2.944 Å, intensity 43
2.847 Å, intensity 84
2.434 Å, intensity 39
2.261 Å, intensity 50

Crystal structure
```
28
Lattice="3.9912 -8.3323 0.0000 3.9912 8.3323 0.0000 -2.3856 0.0000 7.1262" Properties=species:S:1:pos:R:3 pbc="T T T"
Cd 2.2019 7.5410 5.3447
Cd 3.3948 -7.5410 1.7816
H 3.6180 5.0529 0.9342
H 3.1715 5.0529 2.6289
H 1.5713 3.0411 6.9460
H 2.8326 3.0411 3.7434
H 3.5386 1.5309 0.6063
H 3.2509 1.5309 2.9569
H 2.3458 -1.5309 4.1694
H 2.0581 -1.5309 6.5200
H 2.7641 -3.0411 3.3829
H 4.0254 -3.0411 0.1803
H 2.4252 -5.0529 4.4974
H 1.9787 -5.0529 6.1920
C 3.3948 3.2013 1.7816
C 2.2019 -3.2013 5.3447
Br 0.3530 0.5794 4.5203
Br 2.2019 4.9117 5.3447
Br 1.5458 -0.5794 0.9572
Br 4.0509 0.5794 6.1690
Br 3.3948 -4.9117 1.7816
Br 5.2437 -0.5794 2.6059
N 3.3948 4.5397 1.7816
N 3.6730 2.5352 0.6571
N 3.1165 2.5352 2.9060
N 2.4802 -2.5352 4.2202
N 1.9237 -2.5352 6.4691
N 2.2019 -4.5397 5.3447
```



Diffraction record for Na5Cd4Hg2. The PXRD pattern is simulated, not measured: it uses the GGA-PBE geometry in Alexandria and λ = 1.5418 Å (Cu Kα).
Neutral-atom scattering factors, no anomalous dispersion.

Largest 8 diffraction maxima, sorted by position, 2θ = 5–70°:
4.530 Å, intensity 100
3.430 Å, intensity 36
3.143 Å, intensity 33
2.886 Å, intensity 32
2.734 Å, intensity 67
2.583 Å, intensity 72
2.265 Å, intensity 30
2.086 Å, intensity 23

Crystal structure
```
22
Lattice="7.4691 0.0000 0.0000 0.0000 17.3350 0.0000 0.0000 0.0000 4.5302" Properties=species:S:1:pos:R:3 pbc="T T T"
Na 0.0000 0.0000 0.0000
Na 0.7407 7.1870 0.0000
Na 1.4815 3.4654 0.0000
Na 2.2530 12.1329 0.0000
Na 2.9938 15.8544 0.0000
Na 3.7346 8.6675 0.0000
Na 4.4753 1.4805 0.0000
Na 5.2161 5.2021 0.0000
Na 5.9876 13.8696 0.0000
Na 6.7284 10.1480 0.0000
Cd 0.7678 15.0585 2.2651
Cd 1.5970 9.5144 2.2651
Cd 2.1375 0.8469 2.2651
Cd 2.9668 6.3911 2.2651
Cd 4.5023 10.9439 2.2651
Cd 5.3316 16.4880 2.2651
Cd 5.8721 7.8206 2.2651
Cd 6.7013 2.2764 2.2651
Hg 0.0273 5.1704 2.2651
Hg 3.7072 13.8379 2.2651
Hg 3.7619 3.4971 2.2651
Hg 7.4418 12.1645 2.2651
```



Diffraction record for Ho2ScFe. The PXRD pattern is simulated, not measured: it uses the GGA-PBE geometry in Alexandria and λ = 1.5418 Å (Cu Kα).
Neutral-atom scattering factors, no anomalous dispersion.

Largest 8 diffraction maxima, sorted by position, 2θ = 5–70°:
5.025 Å, intensity 31
2.997 Å, intensity 54
2.783 Å, intensity 64
2.724 Å, intensity 32
2.669 Å, intensity 85
2.488 Å, intensity 100
2.360 Å, intensity 34
2.249 Å, intensity 44

Crystal structure
```
16
Lattice="6.8872 0.0000 0.0000 0.0000 8.9093 0.0000 0.0000 0.0000 6.0849" Properties=species:S:1:pos:R:3 pbc="T T T"
Ho 1.2172 0.5754 1.0562
Ho 1.2172 3.8793 1.0562
Ho 2.2264 5.0301 4.0987
Ho 2.2264 8.3339 4.0987
Ho 4.6608 0.5754 1.9862
Ho 4.6608 3.8793 1.9862
Ho 5.6700 5.0301 5.0287
Ho 5.6700 8.3339 5.0287
Sc 0.3428 2.2273 3.9000
Sc 3.1008 6.6820 0.8575
Sc 3.7864 2.2273 5.2274
Sc 6.5444 6.6820 2.1850
Fe 0.8005 6.6820 5.9984
Fe 2.6431 2.2273 2.9559
Fe 4.2441 6.6820 3.1290
Fe 6.0867 2.2273 0.0866
```



Diffraction record for Dy4ThAl5. The PXRD pattern is simulated, not measured: it uses the GGA-PBE geometry in Alexandria and λ = 1.5418 Å (Cu Kα).
Neutral-atom scattering factors, no anomalous dispersion.

Largest 8 diffraction maxima, sorted by position, 2θ = 5–70°:
3.748 Å, intensity 35
3.565 Å, intensity 63
2.583 Å, intensity 100
2.521 Å, intensity 48
2.092 Å, intensity 29
1.783 Å, intensity 17
1.504 Å, intensity 17
1.467 Å, intensity 35

Crystal structure
```
10
Lattice="3.5650 0.0000 0.0000 0.0000 3.5650 0.0000 0.0000 0.0000 18.7375" Properties=species:S:1:pos:R:3 pbc="T T T"
Dy 0.0000 0.0000 1.8173
Dy 0.0000 0.0000 5.4704
Dy 0.0000 0.0000 13.2671
Dy 0.0000 0.0000 16.9202
Th 0.0000 0.0000 9.3688
Al 1.7825 1.7825 0.0000
Al 1.7825 1.7825 3.6352
Al 1.7825 1.7825 7.3170
Al 1.7825 1.7825 11.4205
Al 1.7825 1.7825 15.1024
```



Diffraction record for Y6Pd2O. The PXRD pattern is simulated, not measured: it uses the GGA-PBE geometry in Alexandria and λ = 1.5418 Å (Cu Kα).
Neutral-atom scattering factors, no anomalous dispersion.

Largest 8 diffraction maxima, sorted by position, 2θ = 5–70°:
2.932 Å, intensity 46
2.854 Å, intensity 40
2.837 Å, intensity 100
2.824 Å, intensity 62
2.792 Å, intensity 54
2.610 Å, intensity 40
2.412 Å, intensity 39
2.371 Å, intensity 50

Crystal structure
```
18
Lattice="6.4642 0.0000 0.0000 0.0000 7.0156 0.0000 -6.2525 0.0000 9.6485" Properties=species:S:1:pos:R:3 pbc="T T T"
Y -0.7352 0.1819 2.3546
Y -3.8615 3.3259 7.1789
Y 1.1521 4.8356 0.5595
Y -1.9741 5.6879 5.3838
Y 2.0347 1.2718 0.5492
Y -1.0915 2.2360 5.3734
Y 1.3032 4.7796 4.2751
Y -1.8230 5.7438 9.0994
Y 2.1858 1.3278 4.2647
Y -0.9404 2.1800 9.0890
Y 4.0732 3.6897 2.4696
Y 0.9469 6.8337 7.2939
Pd -2.7573 0.6877 7.2635
Pd 0.3690 2.8202 2.4393
Pd -0.1573 4.1955 7.2093
Pd 2.9690 6.3280 2.3850
O 0.0000 0.0000 0.0000
O -3.1263 3.5078 4.8243
```



Diffraction record for HoAl3CoNi. The PXRD pattern is simulated, not measured: it uses the GGA-PBE geometry in Alexandria and λ = 1.5418 Å (Cu Kα).
Neutral-atom scattering factors, no anomalous dispersion.

Largest 8 diffraction maxima, sorted by position, 2θ = 5–70°:
4.039 Å, intensity 86
3.861 Å, intensity 100
3.127 Å, intensity 36
2.672 Å, intensity 40
2.313 Å, intensity 65
2.197 Å, intensity 86
1.984 Å, intensity 84
1.482 Å, intensity 31

Crystal structure
```
12
Lattice="3.8609 -5.1304 0.0000 3.8609 5.1304 0.0000 0.0000 0.0000 5.3438" Properties=species:S:1:pos:R:3 pbc="T T T"
Ho 3.8609 3.0890 4.0078
Ho 3.8609 -3.0890 1.3359
Al 1.8873 0.0000 0.0000
Al 1.8873 0.0000 2.6719
Al 3.8609 1.8708 1.3359
Al 3.8609 -1.8708 4.0078
Al 5.8345 0.0000 0.0000
Al 5.8345 0.0000 2.6719
Co 3.8609 4.2912 1.3359
Co 3.8609 -4.2912 4.0078
Ni 3.8609 0.4626 4.0078
Ni 3.8609 -0.4626 1.3359
```



Diffraction record for ErZrCSe. The PXRD pattern is simulated, not measured: it uses the GGA-PBE geometry in Alexandria and λ = 1.5418 Å (Cu Kα).
Neutral-atom scattering factors, no anomalous dispersion.

Largest 8 diffraction maxima, sorted by position, 2θ = 5–70°:
3.048 Å, intensity 67
2.612 Å, intensity 82
2.426 Å, intensity 100
2.181 Å, intensity 20
1.781 Å, intensity 45
1.656 Å, intensity 19
1.436 Å, intensity 19
1.380 Å, intensity 28

Crystal structure
```
12
Lattice="3.5629 0.0000 0.0000 -1.7814 3.0856 0.0000 0.0000 0.0000 19.6277" Properties=species:S:1:pos:R:3 pbc="T T T"
Er 0.0000 0.0000 0.0000
Er 0.0000 2.0570 13.0851
Er 1.7814 1.0285 6.5426
Zr 0.0000 0.0000 3.9795
Zr 0.0000 2.0570 17.0646
Zr 1.7814 1.0285 10.5221
C 0.0000 0.0000 11.6473
C 0.0000 2.0570 5.1047
C 1.7814 1.0285 18.1899
Se 0.0000 0.0000 15.1452
Se 0.0000 2.0570 8.6027
Se 1.7814 1.0285 2.0601
```



Diffraction record for Bi5TePd3. The PXRD pattern is simulated, not measured: it uses the GGA-PBE geometry in Alexandria and λ = 1.5418 Å (Cu Kα).
Neutral-atom scattering factors, no anomalous dispersion.

Largest 8 diffraction maxima, sorted by position, 2θ = 5–70°:
3.121 Å, intensity 100
3.055 Å, intensity 29
2.873 Å, intensity 23
2.381 Å, intensity 17
2.334 Å, intensity 17
2.278 Å, intensity 17
2.146 Å, intensity 25
1.910 Å, intensity 19

Crystal structure
```
18
Lattice="6.2315 -4.5558 0.0000 6.2315 4.5558 0.0000 -3.4191 0.0000 9.1655" Properties=species:S:1:pos:R:3 pbc="T T T"
Bi -0.6404 0.0000 3.2113
Bi 2.5655 1.8539 3.5226
Bi 6.2315 2.7939 0.0000
Bi 0.0100 0.0000 8.8710
Bi 6.4783 1.8539 5.6429
Bi 2.5655 -1.8539 3.5226
Bi 9.0338 0.0000 0.2946
Bi 6.2315 -2.7939 0.0000
Bi 6.4783 -1.8539 5.6429
Bi 9.6842 0.0000 5.9542
Te 2.6844 0.0000 6.4917
Te 6.3594 0.0000 2.6738
Pd 1.5456 0.0000 1.6164
Pd -0.0596 0.0000 6.1247
Pd 6.2315 0.0000 0.0000
Pd 4.5219 0.0000 4.5828
Pd 9.1034 0.0000 3.0408
Pd 7.4982 0.0000 7.5491
```



Diffraction record for B7C3. The PXRD pattern is simulated, not measured: it uses the GGA-PBE geometry in Alexandria and λ = 1.5418 Å (Cu Kα).
Neutral-atom scattering factors, no anomalous dispersion.

Largest 8 diffraction maxima, sorted by position, 2θ = 5–70°:
3.724 Å, intensity 45
2.247 Å, intensity 100
2.141 Å, intensity 9
2.048 Å, intensity 35
2.027 Å, intensity 35
1.381 Å, intensity 7
1.378 Å, intensity 19
1.364 Å, intensity 27

Crystal structure
```
10
Lattice="4.0913 -1.2847 0.0000 4.0913 1.2847 0.0000 -1.1668 0.0000 6.4242" Properties=species:S:1:pos:R:3 pbc="T T T"
B 0.0000 0.0000 0.0000
B -0.1083 0.0000 1.7463
B 1.9328 0.0000 0.2271
B 2.4585 0.0000 5.2453
B 3.0789 0.0000 3.4938
B 4.7010 0.0000 2.6755
B 6.4312 0.0000 2.5482
C 0.8720 0.0000 4.9515
C 4.4767 0.0000 4.3163
C 6.6657 0.0000 0.9143
```



Diffraction record for In2Hg17. The PXRD pattern is simulated, not measured: it uses the GGA-PBE geometry in Alexandria and λ = 1.5418 Å (Cu Kα).
Neutral-atom scattering factors, no anomalous dispersion.

Largest 8 diffraction maxima, sorted by position, 2θ = 5–70°:
2.990 Å, intensity 29
2.940 Å, intensity 100
2.816 Å, intensity 44
2.751 Å, intensity 19
2.560 Å, intensity 93
2.380 Å, intensity 15
2.256 Å, intensity 28
2.162 Å, intensity 16

Crystal structure
```
19
Lattice="7.5045 -4.7747 0.0000 7.5045 4.7747 0.0000 -4.4830 0.0000 7.6637" Properties=species:S:1:pos:R:3 pbc="T T T"
In 1.7718 0.0000 2.2542
In 8.7542 0.0000 5.4095
Hg 3.7523 2.3873 0.0000
Hg -2.3569 0.0000 6.2957
Hg 3.9093 2.8179 3.1550
Hg 2.0758 1.4941 5.2649
Hg 7.5045 2.9891 0.0000
Hg 6.6167 2.8179 4.5087
Hg 5.7893 0.0000 0.6748
Hg 3.7523 -2.3873 0.0000
Hg 2.0758 -1.4941 5.2649
Hg 5.2630 0.0000 3.8318
Hg 8.4503 1.4941 2.3988
Hg 4.7367 0.0000 6.9889
Hg 3.9093 -2.8179 3.1550
Hg 7.5045 -2.9891 0.0000
Hg 8.4503 -1.4941 2.3988
Hg 6.6167 -2.8179 4.5087
Hg 12.8830 0.0000 1.3680
```



Diffraction record for DyPuIn4. The PXRD pattern is simulated, not measured: it uses the GGA-PBE geometry in Alexandria and λ = 1.5418 Å (Cu Kα).
Neutral-atom scattering factors, no anomalous dispersion.

Largest 8 diffraction maxima, sorted by position, 2θ = 5–70°:
4.919 Å, intensity 3
3.012 Å, intensity 45
2.569 Å, intensity 100
2.459 Å, intensity 25
1.739 Å, intensity 19
1.640 Å, intensity 34
1.506 Å, intensity 27
1.347 Å, intensity 8

Crystal structure
```
6
Lattice="0.0000 4.2598 4.2598 4.2598 0.0000 4.2598 4.2598 4.2598 0.0000" Properties=species:S:1:pos:R:3 pbc="T T T"
Dy 0.0000 0.0000 0.0000
Pu 2.1299 2.1299 2.1299
In 5.3244 3.1952 3.1952
In 3.1952 5.3244 3.1952
In 3.1952 3.1952 5.3244
In 5.3244 5.3244 5.3244
```